Record 1
Starting from the PBE geometry in the Materials Project, the PXRD pattern of ThCo2As2 was simulated for Cu Kα (weighted mean of Kα1 and Kα2).
Lines closer than 0.1° are merged.

Structural model:
```
10
Lattice="4.175 0.000 0.000 0.000 4.175 0.000 0.000 0.000 9.405" Properties=species:S:1:pos:R:3 pbc="T T T"
Th 1.044 1.044 2.326
Th 3.131 3.131 7.080
Co 1.044 1.044 5.787
Co 1.044 3.131 0.000
Co 3.131 1.044 0.000
Co 3.131 3.131 3.618
As 1.044 1.044 8.158
As 1.044 3.131 4.703
As 3.131 1.044 4.703
As 3.131 3.131 1.248
```

Principal peaks in the range 10° ≤ 2θ ≤ 90°, by angle:
| two_theta | d/Å | I/Imax |
| --- | --- | --- |
| 23.3 | 3.816 | 188 |
| 30.3 | 2.952 | 165 |
| 35.9 | 2.503 | 1000 |
| 43.4 | 2.087 | 317 |
| 53.4 | 1.715 | 139 |
| 57.5 | 1.604 | 226 |
| 71.2 | 1.325 | 118 |
| 74.7 | 1.271 | 185 |

Record 2
Starting from the PBE geometry in the Materials Project, the PXRD pattern of KMg6Sb was simulated for Cu Kα (weighted mean of Kα1 and Kα2).
Lines closer than 0.1° are merged.

Structural model:
```
8
Lattice="5.269 0.000 0.000 0.000 3.311 5.959 0.000 -3.311 5.959" Properties=species:S:1:pos:R:3 pbc="T T T"
K 0.000 0.000 0.000
Mg 0.000 -1.643 2.972
Mg 0.000 1.643 2.972
Mg 2.634 -1.620 4.921
Mg 2.634 0.000 2.045
Mg 2.634 1.620 4.921
Mg 2.634 0.000 7.963
Sb 0.000 0.000 5.926
```

Principal peaks in the range 10° ≤ 2θ ≤ 90°, by angle:
| two_theta | d/Å | I/Imax |
| --- | --- | --- |
| 14.9 | 5.959 | 301 |
| 15.3 | 5.789 | 322 |
| 16.8 | 5.269 | 246 |
| 22.5 | 3.947 | 268 |
| 30.9 | 2.894 | 309 |
| 34.0 | 2.634 | 355 |
| 34.6 | 2.594 | 518 |
| 35.4 | 2.537 | 1000 |